(1)
This entry pairs a crystal structure of Mn2Tl2O7 with its theoretical powder X-ray diffraction pattern. Radiation: Cu Kα. Structure: a GGA+U-relaxed structure.
Kinematic intensities with the Lorentz-polarization factor, no thermal factor.

Peak list (12 most intense, 2θ = 10–90°, in order of rising 2θ)
Position (°2θ)	I (rel.)	(hkl)
15.2	33	1 1 1
29.4	20	3 1 1
30.7	100	2 2 2
35.6	34	4 0 0
38.9	21	3 3 1
46.8	11	5 1 1
51.2	45	4 4 0
53.7	10	5 3 1
60.9	42	6 2 2
63.9	10	4 4 4
83.5	17	6 6 2
86.2	15	8 4 0

Unit cell a=10.0913 b=10.0913 c=10.0913 alpha=90.00 beta=90.00 gamma=90.00
Space group Fd-3m (No. 227, origin choice 2)
One atom of each set of equivalent atoms:
Mn 0.0000 0.0000 0.0000 [16 per cell]
Tl 0.0000 0.0000 0.5000 [16 per cell]
O 0.0763 0.3750 0.3750 [48 per cell]
O 0.1250 0.1250 0.6250 [8 per cell]

=====

(2)
This entry pairs a crystal structure of MnTlO3 with its theoretical powder X-ray diffraction pattern. Radiation: Cu Kα. Structure: a GGA+U-relaxed structure.
Kinematic intensities with the Lorentz-polarization factor, no thermal factor.

Peak list (12 most intense, 2θ = 10–90°, in order of rising 2θ)
Position (°2θ)	I (rel.)	(hkl)
22.3	17	0 2 0
22.9	27	1 0 1
25.5	11	1 1 1
32.2	100	1 2 1
33.0	19	0 0 2
40.2	11	0 2 2
45.6	11	0 4 0
46.8	16	2 0 2
53.5	11	3 1 1
57.4	19	0 4 2
58.5	18	1 2 3
67.4	10	2 4 2

```
data_MnTlO3
_chemical_formula_sum 'Mn4 Tl4 O12'
_cell_length_a 5.5604
_cell_length_b 7.9653
_cell_length_c 5.4218
_cell_angle_alpha 90.00
_cell_angle_beta 90.00
_cell_angle_gamma 90.00
_symmetry_space_group_name_H-M 'P n m a'
_symmetry_Int_Tables_number 62
loop_
_symmetry_equiv_pos_as_xyz
'x,y,z'
'-x,-y,-z'
'-x+1/2,-y,z+1/2'
'x+1/2,y,-z+1/2'
'x+1/2,-y+1/2,-z+1/2'
'-x+1/2,y+1/2,z+1/2'
'-x,y+1/2,-z'
'x,-y+1/2,z'
loop_
_atom_site_label
_atom_site_type_symbol
_atom_site_fract_x
_atom_site_fract_y
_atom_site_fract_z
Mn1 Mn 0.0000 0.0000 0.0000
Tl1 Tl 0.0494 0.2500 0.4847
O1 O 0.0516 0.7500 0.1085
O2 O 0.1970 0.5587 0.6976
```

=====

(3)
This entry pairs a crystal structure of MnTlO3 with its theoretical powder X-ray diffraction pattern. Radiation: Cu Kα. Structure: a GGA+U-relaxed structure.
Kinematic intensities with the Lorentz-polarization factor, no thermal factor.

Peak list (12 most intense, 2θ = 10–90°, in order of rising 2θ)
Position (°2θ)	I (rel.)	(hkl)
20.3	46	1 0 1
28.7	100	1 0 4
32.8	36	0 1 5
34.3	65	1 1 0
37.8	18	1 1 3
40.1	13	0 2 1
45.3	29	0 2 4
46.9	17	0 1 8
48.1	14	2 0 5
58.0	28	3 -1 4
60.1	21	1 1 9
61.3	18	3 0 0

```
data_MnTlO3
_chemical_formula_sum 'Mn6 Tl6 O18'
_cell_length_a 5.2347
_cell_length_b 5.2347
_cell_length_c 17.1388
_cell_angle_alpha 90.00
_cell_angle_beta 90.00
_cell_angle_gamma 120.00
_symmetry_space_group_name_H-M 'R -3'
_symmetry_Int_Tables_number 148
_symmetry_space_group_name_Hall '-R 3'
loop_
_atom_site_label
_atom_site_type_symbol
_atom_site_fract_x
_atom_site_fract_y
_atom_site_fract_z
Mn1 Mn 0.0000 0.0000 0.1647
Tl1 Tl 0.0000 0.0000 0.3748
O1 O 0.0030 0.6150 0.4374
```

=====

(4)
This entry pairs a crystal structure of MnTlO3 with its theoretical powder X-ray diffraction pattern. Radiation: Cu Kα. Structure: a GGA+U-relaxed structure.
Kinematic intensities with the Lorentz-polarization factor, no thermal factor.

Peak list (12 most intense, 2θ = 10–90°, in order of rising 2θ)
Position (°2θ)	I (rel.)	(hkl)
22.2	37	1 1 0
22.7	71	0 0 2
31.3	58	1 1 2
31.7	53	0 2 0
32.3	100	1 -1 2
32.5	47	-1 1 2
32.7	44	1 1 -2
45.3	24	2 2 0
46.4	27	0 0 4
46.5	22	2 -2 0
56.6	21	0 2 4
57.3	21	1 3 -2

```
data_MnTlO3
_chemical_formula_sum 'Mn4 Tl4 O12'
_cell_length_a 5.5516
_cell_length_b 5.6409
_cell_length_c 7.8361
_cell_angle_alpha 88.50
_cell_angle_beta 87.99
_cell_angle_gamma 88.57
_symmetry_space_group_name_H-M 'P -1'
_symmetry_Int_Tables_number 2
loop_
_symmetry_equiv_pos_as_xyz
'x,y,z'
'-x,-y,-z'
loop_
_atom_site_label
_atom_site_type_symbol
_atom_site_fract_x
_atom_site_fract_y
_atom_site_fract_z
Mn1 Mn 0.0000 0.0000 0.0000
Mn2 Mn 0.0000 0.0000 0.5000
Mn3 Mn 0.5000 0.5000 0.0000
Mn4 Mn 0.5000 0.5000 0.5000
Tl1 Tl 0.0256 0.4939 0.2529
Tl2 Tl 0.4703 0.9917 0.7476
O1 O 0.0355 0.8906 0.7348
O2 O 0.1980 0.6872 0.0411
O3 O 0.2069 0.3271 0.5571
O4 O 0.2890 0.1744 0.9567
O5 O 0.3011 0.8209 0.4390
O6 O 0.4684 0.3981 0.2467
```

=====

(5)
This entry pairs a crystal structure of TmMn2O5 with its theoretical powder X-ray diffraction pattern. Radiation: Cu Kα. Structure: a GGA+U-relaxed structure.
Kinematic intensities with the Lorentz-polarization factor, no thermal factor.

Peak list (12 most intense, 2θ = 10–90°, in order of rising 2θ)
Position (°2θ)	I (rel.)	(hkl)
15.4	47	0 0 1
28.8	68	1 2 1
30.9	100	2 1 1
31.1	17	0 0 2
33.8	39	1 3 0
35.1	26	1 1 2
41.4	29	2 1 2
45.8	17	3 2 1
46.6	18	1 3 2
47.1	18	1 4 1
55.2	21	2 1 3
59.5	22	3 3 2

```
data_TmMn2O5
_chemical_formula_sum 'Tm4 Mn8 O20'
_cell_length_a 7.2733
_cell_length_b 8.5399
_cell_length_c 5.7558
_cell_angle_alpha 90.00
_cell_angle_beta 90.00
_cell_angle_gamma 90.00
_symmetry_space_group_name_H-M 'P b a m'
_symmetry_Int_Tables_number 55
loop_
_symmetry_equiv_pos_as_xyz
'x,y,z'
'-x,-y,-z'
'-x,-y,z'
'x,y,-z'
'x+1/2,-y+1/2,-z'
'-x+1/2,y+1/2,z'
'-x+1/2,y+1/2,-z'
'x+1/2,-y+1/2,z'
loop_
_atom_site_label
_atom_site_type_symbol
_atom_site_fract_x
_atom_site_fract_y
_atom_site_fract_z
Tm1 Tm 0.1382 0.1707 0.0000
Mn1 Mn 0.0000 0.5000 0.2525
Mn2 Mn 0.0866 0.8481 0.5000
O1 O 0.0000 0.0000 0.2658
O2 O 0.1062 0.7070 0.2378
O3 O 0.1528 0.4315 0.5000
O4 O 0.1662 0.4423 0.0000
```

=====

(6)
This entry pairs a crystal structure of Tm2Mn2O7 with its theoretical powder X-ray diffraction pattern. Radiation: Cu Kα. Structure: a GGA+U-relaxed structure.
Kinematic intensities with the Lorentz-polarization factor, no thermal factor.

Peak list (12 most intense, 2θ = 10–90°, in order of rising 2θ)
Position (°2θ)	I (rel.)	(hkl)
15.4	27	1 1 1
29.8	15	3 1 1
31.2	100	2 2 2
36.2	31	4 0 0
39.5	18	3 3 1
47.5	9	5 1 1
52.1	47	4 4 0
54.6	8	5 3 1
61.9	41	6 2 2
65.0	9	4 4 4
85.1	17	6 6 2
87.9	14	8 4 0

Unit cell a=9.9384 b=9.9384 c=9.9384 alpha=90.00 beta=90.00 gamma=90.00
Space group Fd-3m (No. 227, origin choice 2)
One atom of each set of equivalent atoms:
Tm 0.0000 0.0000 0.0000 [16 per cell]
Mn 0.0000 0.0000 0.5000 [16 per cell]
O 0.0819 0.3750 0.8750 [48 per cell]
O 0.1250 0.1250 0.1250 [8 per cell]

=====

(7)
This entry pairs a crystal structure of Mn5VO8 with its theoretical powder X-ray diffraction pattern. Radiation: Cu Kα. Structure: a GGA+U-relaxed structure.
Kinematic intensities with the Lorentz-polarization factor, no thermal factor.

Peak list (12 most intense, 2θ = 10–90°, in order of rising 2θ)
Position (°2θ)	I (rel.)	(hkl)
26.8	20	5 1 0
27.1	25	3 1 1
27.3	32	6 0 0
32.8	30	0 2 1
34.9	49	2 2 1
35.9	22	2 0 2
36.2	41	4 2 -1
40.8	55	4 0 2
41.2	100	6 2 -1
58.1	50	2 2 -3
58.4	25	0 4 0
60.6	39	10 2 1

```
data_Mn5VO8
_chemical_formula_sum 'Mn20 V4 O32'
_cell_length_a 19.9052
_cell_length_b 6.3178
_cell_length_c 5.5104
_cell_angle_alpha 90.00
_cell_angle_beta 100.18
_cell_angle_gamma 90.00
_symmetry_space_group_name_H-M 'C 1 2/m 1'
_symmetry_Int_Tables_number 12
loop_
_symmetry_equiv_pos_as_xyz
'x,y,z'
'-x,-y,-z'
'-x,y,-z'
'x,-y,z'
'x+1/2,y+1/2,z'
'-x+1/2,-y+1/2,-z'
'-x+1/2,y+1/2,-z'
'x+1/2,-y+1/2,z'
loop_
_atom_site_label
_atom_site_type_symbol
_atom_site_fract_x
_atom_site_fract_y
_atom_site_fract_z
Mn1 Mn 0.0000 0.0000 0.0000
Mn2 Mn 0.0000 0.2483 0.5000
Mn3 Mn 0.0000 0.5000 0.0000
Mn4 Mn 0.1322 0.5000 0.7597
Mn5 Mn 0.1326 0.2438 0.2556
V1 V 0.2139 0.0000 0.8050
O1 O 0.0559 0.0000 0.3249
O2 O 0.0573 0.2770 0.8939
O3 O 0.0699 0.5000 0.3927
O4 O 0.1835 0.2245 0.6376
O5 O 0.1855 0.0000 0.0881
O6 O 0.1936 0.5000 0.1358
```

=====

(8)
This entry pairs a crystal structure of MnV2O6 with its theoretical powder X-ray diffraction pattern. Radiation: Cu Kα. Structure: a GGA+U-relaxed structure.
Kinematic intensities with the Lorentz-polarization factor, no thermal factor.

Peak list (12 most intense, 2θ = 10–90°, in order of rising 2θ)
Position (°2θ)	I (rel.)	(hkl)
19.1	23	2 0 -2
19.9	45	0 0 2
26.1	100	4 0 -2
26.6	44	1 1 -1
28.0	68	2 0 2
28.5	26	1 1 1
31.0	86	3 1 -1
37.8	29	1 1 -3
40.1	23	6 0 0
50.8	32	0 2 0
58.0	27	2 0 -6
60.7	22	1 1 5

```
data_MnV2O6
_chemical_formula_sum 'Mn4 V8 O24'
_cell_length_a 14.6649
_cell_length_b 3.5955
_cell_length_c 9.6937
_cell_angle_alpha 90.00
_cell_angle_beta 113.12
_cell_angle_gamma 90.00
_symmetry_space_group_name_H-M 'C 1 2/m 1'
_symmetry_Int_Tables_number 12
loop_
_symmetry_equiv_pos_as_xyz
'x,y,z'
'-x,-y,-z'
'-x,y,-z'
'x,-y,z'
'x+1/2,y+1/2,z'
'-x+1/2,-y+1/2,-z'
'-x+1/2,y+1/2,-z'
'x+1/2,-y+1/2,z'
loop_
_atom_site_label
_atom_site_type_symbol
_atom_site_fract_x
_atom_site_fract_y
_atom_site_fract_z
Mn1 Mn 0.2502 0.0000 0.2497
V1 V 0.0853 0.0000 0.8671
V2 V 0.0856 0.5000 0.3669
O1 O 0.0431 0.0000 0.3244
O2 O 0.0430 0.5000 0.8244
O3 O 0.1197 0.0000 0.0542
O4 O 0.1197 0.5000 0.5543
O5 O 0.1906 0.0000 0.8312
O6 O 0.1906 0.5000 0.3312
```

=====

Copy entry 1 word for word.
This entry pairs a crystal structure of Mn2Tl2O7 with its theoretical powder X-ray diffraction pattern. Radiation: Cu Kα. Structure: a GGA+U-relaxed structure.
Kinematic intensities with the Lorentz-polarization factor, no thermal factor.

Peak list (12 most intense, 2θ = 10–90°, in order of rising 2θ)
Position (°2θ)	I (rel.)	(hkl)
15.2	33	1 1 1
29.4	20	3 1 1
30.7	100	2 2 2
35.6	34	4 0 0
38.9	21	3 3 1
46.8	11	5 1 1
51.2	45	4 4 0
53.7	10	5 3 1
60.9	42	6 2 2
63.9	10	4 4 4
83.5	17	6 6 2
86.2	15	8 4 0

Unit cell a=10.0913 b=10.0913 c=10.0913 alpha=90.00 beta=90.00 gamma=90.00
Space group Fd-3m (No. 227, origin choice 2)
One atom of each set of equivalent atoms:
Mn 0.0000 0.0000 0.0000 [16 per cell]
Tl 0.0000 0.0000 0.5000 [16 per cell]
O 0.0763 0.3750 0.3750 [48 per cell]
O 0.1250 0.1250 0.6250 [8 per cell]